1.
Simulated powder XRD pattern
Compound: Sr3Ga2Ni2
Radiation: Cu Ka
Structure: a structure optimized by DFT (PBE)
Lines closer than 0.1° are merged.

Structure:
```
Sr3Ga2Ni2
1.0
6.0821 0.0000 0.0000
0.0000 8.3297 0.0000
0.0000 0.0000 13.5748
Sr Ga Ni
12 8 8
Cartesian
0.8620 0.9112 1.3428 Sr
0.8620 0.9112 5.4446 Sr
0.8620 3.2536 8.1302 Sr
0.8620 3.2536 12.2319 Sr
2.1321 6.1036 10.1811 Sr
2.1321 6.3910 3.3937 Sr
3.9499 1.9387 10.1811 Sr
3.9499 2.2261 3.3937 Sr
5.2201 5.0761 1.3428 Sr
5.2201 5.0761 5.4446 Sr
5.2201 7.4185 8.1302 Sr
5.2201 7.4185 12.2319 Sr
1.1466 0.6745 10.1811 Ga
1.1466 3.4903 3.3937 Ga
2.3913 6.2473 0.0000 Ga
2.3913 6.2473 6.7874 Ga
3.6907 2.0824 0.0000 Ga
3.6907 2.0824 6.7874 Ga
4.9355 4.8394 10.1811 Ga
4.9355 7.6552 3.3937 Ga
2.3319 0.2066 7.9532 Ni
2.3319 0.2066 12.4090 Ni
2.3319 3.9582 1.1658 Ni
2.3319 3.9582 5.6216 Ni
3.7502 4.3715 7.9532 Ni
3.7502 4.3715 12.4090 Ni
3.7502 8.1231 1.1658 Ni
3.7502 8.1231 5.6216 Ni
```

The 10 most intense peaks (2θ from 10° to 90°), by intensity:
h k l  two_theta  I_rel
2 1 3  37.2  100.0
1 3 0  35.5  54.7
2 1 0  31.3  48.0
1 1 4  32.0  41.8
0 2 3  29.1  37.4
1 2 3  32.7  25.2
0 2 4  34.1  25.0
0 0 6  39.8  23.2
1 4 0  46.1  20.1
1 2 1  26.8  17.5

2.
Simulated powder XRD pattern
Compound: Na3Pb7
Radiation: Cu Ka
Structure: a structure optimized by DFT (PBE)
Lines closer than 0.1° are merged.

Structure:
```
Na3Pb7
1.0
10.8856 0.0000 0.0000
-5.4428 9.4272 0.0000
0.0000 0.0000 6.0523
Na Pb
6 14
Cartesian
0.0000 3.9150 0.0000 Na
-2.0523 7.4697 0.0000 Na
3.3905 1.9575 3.0262 Na
2.0523 7.4697 0.0000 Na
7.4950 1.9575 3.0262 Na
5.4428 5.5121 3.0262 Na
-2.3346 4.9369 2.1601 Pb
0.0000 2.0066 2.9434 Pb
-3.7050 8.4239 2.9434 Pb
1.7377 1.0033 5.9696 Pb
0.0000 6.2848 3.7233 Pb
2.3346 4.9369 2.1601 Pb
0.0000 8.9805 2.1601 Pb
5.4428 0.4466 5.1863 Pb
3.1082 4.4903 5.1863 Pb
5.4428 3.1424 0.6971 Pb
3.7050 8.4239 2.9434 Pb
9.1478 1.0033 5.9696 Pb
5.4428 7.4206 5.9696 Pb
7.7774 4.4903 5.1863 Pb
```

The 10 most intense peaks (2θ from 10° to 90°), by intensity:
h k l  two_theta  I_rel
3 0 1  32.1  100.0
2 1 0  25.0  55.4
2 0 2  35.2  50.4
2 1 1  29.1  49.0
1 0 1  17.4  30.3
2 0 0  18.8  28.4
2 2 0  32.9  25.9
3 2 1  44.5  24.5
1 0 2  31.0  23.0
3 0 2  41.4  21.3